The following is a calculated PXRD pattern of LaPrAs2Pd2O2. It was derived from a cell relaxed with PBE, using CuKα.
Intensities are scaled so that the largest is 100.

Top 12 peaks for 2θ = 5–70°, in order of rising 2θ:
10.73°, intensity 12
21.55°, intensity 7
29.84°, intensity 10
30.25°, intensity 100
31.79°, intensity 41
32.57°, intensity 8
37.10°, intensity 44
42.70°, intensity 53
53.22°, intensity 41
53.99°, intensity 41
54.71°, intensity 8
61.98°, intensity 17

```
LaPrAs2Pd2O2
1.0
4.235 0.000 0.000
0.000 4.235 0.000
0.000 0.000 8.249
La Pr As Pd O
1 1 2 2 2
direct
0.000 0.000 0.000 La
0.500 0.500 0.725 Pr
0.000 0.000 0.527 As
0.500 0.500 0.203 As
0.000 0.500 0.365 Pd
0.500 0.000 0.365 Pd
0.000 0.500 0.863 O
0.500 0.000 0.863 O
```


The following is a calculated PXRD pattern of La2ZnAs2PdO2. It was derived from a cell relaxed with PBE, using CuKα.
Intensities are scaled so that the largest is 100.

Top 12 peaks for 2θ = 5–70°, in order of rising 2θ:
23.87°, intensity 7
29.74°, intensity 100
30.52°, intensity 7
30.71°, intensity 13
32.40°, intensity 32
37.05°, intensity 40
37.69°, intensity 9
43.99°, intensity 43
46.88°, intensity 9
52.16°, intensity 35
54.00°, intensity 37
63.97°, intensity 14

```
La2ZnAs2PdO2
1.0
4.117 0.000 0.000
0.000 4.117 0.000
0.000 0.000 8.787
La Zn As Pd O
2 1 2 1 2
direct
0.000 0.500 0.137 La
0.500 0.000 0.863 La
0.000 0.000 0.500 Zn
0.000 0.500 0.673 As
0.500 0.000 0.327 As
0.500 0.500 0.500 Pd
0.000 0.000 0.000 O
0.500 0.500 0.000 O
```


The following is a calculated PXRD pattern of LaReAsO. It was derived from a cell relaxed with PBE, using CuKα.
Intensities are scaled so that the largest is 100.

Top 12 peaks for 2θ = 5–70°, in order of rising 2θ:
9.77°, intensity 78
19.61°, intensity 26
29.67°, intensity 100
32.96°, intensity 70
37.29°, intensity 78
43.70°, intensity 11
45.00°, intensity 53
49.53°, intensity 9
51.58°, intensity 56
54.82°, intensity 43
65.53°, intensity 17
69.85°, intensity 12

```
LaReAsO
1.0
4.029 0.000 0.000
0.000 4.029 0.000
0.000 0.000 9.053
La Re As O
2 2 2 2
direct
0.250 0.250 0.137 La
0.750 0.750 0.863 La
0.250 0.750 0.500 Re
0.750 0.250 0.500 Re
0.250 0.250 0.668 As
0.750 0.750 0.332 As
0.250 0.750 0.000 O
0.750 0.250 0.000 O
```


The following is a calculated PXRD pattern of La2Zn2SbAsO2. It was derived from a cell relaxed with PBE, using CuKα.
Intensities are scaled so that the largest is 100.

Top 12 peaks for 2θ = 5–70°, in order of rising 2θ:
28.69°, intensity 100
30.37°, intensity 20
31.87°, intensity 19
36.01°, intensity 41
43.48°, intensity 36
44.38°, intensity 7
48.59°, intensity 6
49.75°, intensity 27
52.93°, intensity 37
57.65°, intensity 7
63.18°, intensity 11
67.23°, intensity 8

```
La2Zn2SbAsO2
1.0
4.162 0.000 0.000
0.000 4.162 0.000
0.000 0.000 9.368
La Zn Sb As O
2 2 1 1 2
direct
0.000 0.000 0.000 La
0.500 0.500 0.254 La
0.000 0.500 0.649 Zn
0.500 0.000 0.649 Zn
0.000 0.000 0.462 Sb
0.500 0.500 0.815 As
0.000 0.500 0.128 O
0.500 0.000 0.128 O
```


The following is a calculated PXRD pattern of LaZrAsO. It was derived from a cell relaxed with PBE, using CuKα.
Intensities are scaled so that the largest is 100.

Top 12 peaks for 2θ = 5–70°, in order of rising 2θ:
28.48°, intensity 100
29.48°, intensity 13
31.08°, intensity 44
35.48°, intensity 37
36.04°, intensity 24
42.17°, intensity 48
49.59°, intensity 9
49.80°, intensity 35
51.68°, intensity 38
56.65°, intensity 13
61.17°, intensity 15
67.09°, intensity 15

```
LaZrAsO
1.0
4.285 0.000 0.000
0.000 4.285 0.000
0.000 0.000 9.191
La Zr As O
2 2 2 2
direct
0.250 0.250 0.121 La
0.750 0.750 0.879 La
0.250 0.750 0.500 Zr
0.750 0.250 0.500 Zr
0.250 0.250 0.685 As
0.750 0.750 0.315 As
0.250 0.750 0.000 O
0.750 0.250 0.000 O
```


The following is a calculated PXRD pattern of LaSmAs2Pd2. It was derived from a cell relaxed with PBE, using CuKα.
Intensities are scaled so that the largest is 100.

Top 12 peaks for 2θ = 5–70°, in order of rising 2θ:
22.71°, intensity 1
23.40°, intensity 5
26.06°, intensity 3
32.84°, intensity 100
41.13°, intensity 53
41.99°, intensity 2
46.39°, intensity 12
47.49°, intensity 1
52.59°, intensity 2
53.60°, intensity 25
63.70°, intensity 27
69.71°, intensity 22

```
LaSmAs2Pd2
1.0
4.390 0.000 0.000
-2.195 3.802 0.000
0.000 0.000 7.829
La Sm As Pd
1 1 2 2
direct
0.000 0.000 0.000 La
0.000 0.000 0.501 Sm
0.333 0.667 0.266 As
0.667 0.333 0.752 As
0.333 0.667 0.733 Pd
0.667 0.333 0.252 Pd
```


The following is a calculated PXRD pattern of La2PrAs3. It was derived from a cell relaxed with PBE, using CuKα.
Intensities are scaled so that the largest is 100.

Top 8 peaks for 2θ = 5–70°, in order of rising 2θ:
25.05°, intensity 15
29.00°, intensity 100
41.48°, intensity 75
49.07°, intensity 8
51.41°, intensity 27
60.11°, intensity 13
66.15°, intensity 3
68.10°, intensity 34

```
La2PrAs3
1.0
4.354 0.000 0.000
-2.177 3.771 0.000
0.000 0.000 10.664
La Pr As
2 1 3
direct
0.333 0.667 0.332 La
0.667 0.333 0.668 La
0.000 0.000 0.000 Pr
0.000 0.000 0.500 As
0.333 0.667 0.835 As
0.667 0.333 0.165 As
```


The following is a calculated PXRD pattern of LaPrAs2Se2. It was derived from a cell relaxed with PBE, using CuKα.
Intensities are scaled so that the largest is 100.

Top 12 peaks for 2θ = 5–70°, in order of rising 2θ:
23.98°, intensity 26
29.48°, intensity 29
31.12°, intensity 22
32.68°, intensity 47
37.00°, intensity 100
44.58°, intensity 35
51.25°, intensity 8
54.35°, intensity 20
55.35°, intensity 9
59.28°, intensity 20
64.88°, intensity 11
65.78°, intensity 14

```
LaPrAs2Se2
1.0
4.065 0.000 0.000
0.000 4.065 0.000
0.000 0.000 9.091
La Pr As Se
1 1 2 2
direct
0.000 0.000 0.000 La
0.500 0.500 0.442 Pr
0.000 0.500 0.719 As
0.500 0.000 0.719 As
0.000 0.000 0.348 Se
0.500 0.500 0.093 Se
```


The following is a calculated PXRD pattern of LaSmAs2Pt2. It was derived from a cell relaxed with PBE, using CuKα.
Intensities are scaled so that the largest is 100.

Top 12 peaks for 2θ = 5–70°, in order of rising 2θ:
22.23°, intensity 9
24.21°, intensity 14
28.97°, intensity 7
32.61°, intensity 100
36.82°, intensity 6
41.40°, intensity 58
45.36°, intensity 14
47.49°, intensity 7
53.67°, intensity 24
57.29°, intensity 2
63.08°, intensity 33
69.97°, intensity 22

```
LaSmAs2Pt2
1.0
4.362 0.000 0.000
-2.181 3.777 0.000
0.000 0.000 15.994
La Sm As Pt
2 2 4 4
direct
0.000 0.000 0.250 La
0.000 0.000 0.750 La
0.000 0.000 0.000 Sm
0.000 0.000 0.500 Sm
0.333 0.667 0.118 As
0.333 0.667 0.382 As
0.667 0.333 0.618 As
0.667 0.333 0.882 As
0.333 0.667 0.625 Pt
0.333 0.667 0.875 Pt
0.667 0.333 0.125 Pt
0.667 0.333 0.375 Pt
```


The following is a calculated PXRD pattern of LaTbAs2Pt2. It was derived from a cell relaxed with PBE, using CuKα.
Intensities are scaled so that the largest is 100.

Top 12 peaks for 2θ = 5–70°, in order of rising 2θ:
11.33°, intensity 6
22.78°, intensity 6
24.32°, intensity 20
33.06°, intensity 100
37.42°, intensity 14
41.56°, intensity 62
46.52°, intensity 10
47.91°, intensity 5
54.10°, intensity 25
57.14°, intensity 4
58.58°, intensity 4
64.13°, intensity 24

```
LaTbAs2Pt2
1.0
4.346 0.000 0.000
-2.173 3.764 0.000
0.000 0.000 15.616
La Tb As Pt
2 2 4 4
direct
0.000 0.000 0.000 La
0.000 0.000 0.500 La
0.000 0.000 0.250 Tb
0.000 0.000 0.750 Tb
0.333 0.667 0.122 As
0.333 0.667 0.378 As
0.667 0.333 0.622 As
0.667 0.333 0.878 As
0.333 0.667 0.642 Pt
0.333 0.667 0.858 Pt
0.667 0.333 0.142 Pt
0.667 0.333 0.358 Pt
```


The following is a calculated PXRD pattern of La2SmAs3. It was derived from a cell relaxed with PBE, using CuKα.
Intensities are scaled so that the largest is 100.

Top 9 peaks for 2θ = 5–70°, in order of rising 2θ:
8.36°, intensity 1
25.26°, intensity 16
29.25°, intensity 100
41.84°, intensity 75
49.50°, intensity 8
51.86°, intensity 27
60.65°, intensity 12
66.77°, intensity 3
68.74°, intensity 34

```
La2SmAs3
1.0
4.318 0.000 0.000
-2.159 3.740 0.000
0.000 0.000 10.580
La Sm As
2 1 3
direct
0.333 0.667 0.329 La
0.667 0.333 0.671 La
0.000 0.000 0.000 Sm
0.000 0.000 0.500 As
0.333 0.667 0.840 As
0.667 0.333 0.160 As
```


The following is a calculated PXRD pattern of LiNiAs2. It was derived from a cell relaxed with PBE, using CuKα.
Intensities are scaled so that the largest is 100.

Top 8 peaks for 2θ = 5–70°, in order of rising 2θ:
24.71°, intensity 27
28.61°, intensity 10
40.91°, intensity 100
48.38°, intensity 13
50.68°, intensity 2
59.24°, intensity 16
65.17°, intensity 5
67.09°, intensity 3

```
LiNiAs2
1.0
0.000 3.120 3.120
3.120 0.000 3.120
3.120 3.120 0.000
Li Ni As
1 1 2
direct
0.000 0.000 0.000 Li
0.750 0.750 0.750 Ni
0.250 0.250 0.250 As
0.500 0.500 0.500 As
```


The following is a calculated PXRD pattern of Li4TbAsO6. It was derived from a cell relaxed with PBE, using CuKα.
Intensities are scaled so that the largest is 100.

Top 12 peaks for 2θ = 5–70°, in order of rising 2θ:
18.34°, intensity 100
18.80°, intensity 25
20.05°, intensity 49
23.16°, intensity 36
26.38°, intensity 24
30.93°, intensity 18
33.62°, intensity 37
34.75°, intensity 19
37.11°, intensity 19
41.32°, intensity 50
43.04°, intensity 23
62.07°, intensity 21

```
Li4TbAsO6
1.0
2.640 -4.721 0.000
2.640 4.721 0.000
-1.602 0.000 4.838
Li Tb As O
4 1 1 6
direct
0.000 0.000 0.000 Li
0.393 0.607 0.000 Li
0.663 0.337 0.000 Li
0.861 0.139 0.500 Li
0.195 0.805 0.500 Tb
0.524 0.476 0.500 As
0.166 0.398 0.269 O
0.296 0.256 0.722 O
0.459 0.128 0.267 O
0.602 0.834 0.731 O
0.744 0.704 0.278 O
0.872 0.541 0.733 O
```


The following is a calculated PXRD pattern of LiZr2As3O12. It was derived from a cell relaxed with PBE, using CuKα.
Intensities are scaled so that the largest is 100.

Top 12 peaks for 2θ = 5–70°, in order of rising 2θ:
13.69°, intensity 12
19.29°, intensity 13
19.54°, intensity 31
22.78°, intensity 100
27.59°, intensity 27
29.94°, intensity 13
31.08°, intensity 31
33.74°, intensity 34
33.89°, intensity 21
41.66°, intensity 14
46.53°, intensity 11
54.22°, intensity 11

```
LiZr2As3O12
1.0
4.601 2.656 7.375
-4.601 2.656 7.375
0.000 -5.313 7.375
Li Zr As O
2 4 6 24
direct
0.000 0.000 0.000 Li
0.500 0.500 0.500 Li
0.139 0.139 0.139 Zr
0.361 0.361 0.361 Zr
0.639 0.639 0.639 Zr
0.861 0.861 0.861 Zr
0.046 0.750 0.454 As
0.250 0.546 0.954 As
0.454 0.046 0.750 As
0.546 0.954 0.250 As
0.750 0.454 0.046 As
0.954 0.250 0.546 As
0.003 0.178 0.381 O
0.057 0.913 0.251 O
0.087 0.749 0.943 O
0.119 0.322 0.497 O
0.178 0.381 0.003 O
0.249 0.587 0.443 O
0.251 0.057 0.913 O
0.322 0.497 0.119 O
0.381 0.003 0.178 O
0.413 0.557 0.751 O
0.443 0.249 0.587 O
0.497 0.119 0.322 O
0.503 0.881 0.678 O
0.557 0.751 0.413 O
0.587 0.443 0.249 O
0.619 0.997 0.822 O
0.678 0.503 0.881 O
0.749 0.943 0.087 O
0.751 0.413 0.557 O
0.822 0.619 0.997 O
0.881 0.678 0.503 O
0.913 0.251 0.057 O
0.943 0.087 0.749 O
0.997 0.822 0.619 O
```